Record 1
This entry pairs a crystal structure of SmHoO3 with its calculated powder diffractogram. Radiation: Cu Kα, 1.54184 Å. Structure: the GGA-PBE geometry in the Materials Project.

a b c (Å): 6.024 8.447 5.765
angles (deg): 90.00 90.00 90.00
Space group Pnma (No. 62)
Inequivalent atoms, fractional coordinates:
Sm  0.052  0.250  0.015 x4
Ho  0.000  0.000  0.500 x4
O  0.072  0.750  0.361 x4
O  0.187  0.573  0.817 x8

Principal peaks in the range 2θ from 10° to 80°, in order of rising 2θ:
Position (°2θ), Rel. int., index
29.66, 22.1, 2 0 0
30.13, 100.0, 1 2 1
31.02, 22.1, 0 0 2
42.82, 11.7, 0 4 0
43.45, 18.7, 2 0 2
52.94, 26.1, 2 4 0
53.81, 11.4, 0 4 2
54.64, 22.4, 1 2 3
62.65, 12.7, 2 4 2
70.61, 11.5, 1 6 1


Record 2
This entry pairs a crystal structure of Ho2Sn2O7 with its calculated powder diffractogram. Radiation: Cu Kα, 1.54184 Å. Structure: the GGA-PBE geometry in the Materials Project.

a b c (Å): 10.472 10.472 10.472
angles (deg): 90.00 90.00 90.00
Space group Fd-3m (No. 227, origin choice 2)
Inequivalent atoms, fractional coordinates:
Ho  0.000  0.000  0.000 x16
Sn  0.000  0.000  0.500 x16
O  0.090  0.375  0.875 x48
O  0.125  0.125  0.125 x8

Principal peaks in the range 2θ from 10° to 80°, in order of rising 2θ:
Position (°2θ), Rel. int., index
14.65, 2.3, 1 1 1
29.55, 100.0, 2 2 2
34.25, 33.8, 4 0 0
37.43, 2.8, 3 3 1
44.98, 1.0, 5 1 1
49.22, 48.5, 4 4 0
58.46, 44.9, 6 2 2
61.33, 10.3, 4 4 4
72.16, 7.3, 8 0 0
79.85, 18.8, 6 6 2